This entry pairs a crystal structure of Th2Ga3Si with its theoretical XRD peak list. Radiation: a wavelength of 1.5418 Å. Structure: a crystal structure in Alexandria, relaxed with PBE.
Intensities are scaled so that the largest is 100.

Principal peaks in the range 5 to 70 degrees two-theta, in order of rising 2θ:
4.223 Å, I = 5; 3.673 Å, I = 32; 2.772 Å, I = 100; 2.121 Å, I = 35; 2.112 Å, I = 11; 1.837 Å, I = 5; 1.831 Å, I = 10; 1.684 Å, I = 23; 1.497 Å, I = 8; 1.496 Å, I = 15

Atomic structure:
```
Th2Ga3Si
1.0
0.000 4.246 7.340
4.223 0.000 7.340
4.223 4.246 0.000
Th Ga Si
4 6 2
Cartesian
6.365 4.246 7.340 Th
2.112 2.123 3.670 Th
6.335 6.369 11.010 Th
2.082 4.246 7.340 Th
4.223 2.119 6.108 Ga
4.223 4.246 4.871 Ga
4.223 2.119 8.572 Ga
4.223 6.373 6.108 Ga
4.223 4.246 9.809 Ga
4.223 6.373 8.572 Ga
4.223 4.246 2.436 Si
4.223 4.246 12.244 Si
```

***

This entry pairs a crystal structure of Ti4GaSi with its theoretical XRD peak list. Radiation: a wavelength of 1.5418 Å. Structure: a crystal structure in Alexandria, relaxed with PBE.
Intensities are scaled so that the largest is 100.

Principal peaks in the range 5 to 70 degrees two-theta, in order of rising 2θ:
6.225 Å, I = 17; 4.402 Å, I = 8; 2.784 Å, I = 9; 2.430 Å, I = 100; 2.201 Å, I = 13; 2.169 Å, I = 46; 1.968 Å, I = 52; 1.946 Å, I = 31; 1.427 Å, I = 16; 1.392 Å, I = 9

Atomic structure:
```
Ti4GaSi
1.0
6.225 0.000 0.000
0.000 6.225 0.000
0.000 0.000 4.985
Ti Ga Si
8 2 2
Cartesian
0.914 2.145 0.000 Ti
0.914 4.080 2.493 Ti
2.145 0.914 2.493 Ti
2.145 5.311 0.000 Ti
4.080 0.914 0.000 Ti
4.080 5.311 2.493 Ti
5.311 2.145 2.493 Ti
5.311 4.080 0.000 Ti
3.112 3.112 1.246 Ga
3.112 3.112 3.739 Ga
0.000 0.000 1.246 Si
0.000 0.000 3.739 Si
```

***

This entry pairs a crystal structure of Ti4Ga2Si with its theoretical XRD peak list. Radiation: a wavelength of 1.5418 Å. Structure: a crystal structure in Alexandria, relaxed with PBE.
Intensities are scaled so that the largest is 100.

Principal peaks in the range 5 to 70 degrees two-theta, in order of rising 2θ:
8.794 Å, I = 37; 2.696 Å, I = 100; 2.379 Å, I = 95; 2.309 Å, I = 83; 2.144 Å, I = 58; 2.046 Å, I = 77; 1.960 Å, I = 78; 1.809 Å, I = 37; 1.760 Å, I = 25; 1.399 Å, I = 19

Atomic structure:
```
Ti4Ga2Si
1.0
4.777 0.000 0.000
0.000 2.833 0.000
-1.595 0.000 8.794
Ti Ga Si
4 2 1
Cartesian
0.194 0.000 1.382 Ti
0.433 1.416 6.550 Ti
2.750 1.416 2.243 Ti
2.989 0.000 7.411 Ti
0.365 1.416 3.738 Ga
2.818 1.416 5.055 Ga
2.389 0.000 0.000 Si
```

***

This entry pairs a crystal structure of Tl2GaSi2 with its theoretical XRD peak list. Radiation: a wavelength of 1.5418 Å. Structure: a crystal structure in Alexandria, relaxed with PBE.
Intensities are scaled so that the largest is 100.

Principal peaks in the range 5 to 70 degrees two-theta, in order of rising 2θ:
4.758 Å, I = 30; 3.447 Å, I = 56; 3.068 Å, I = 55; 2.578 Å, I = 100; 2.478 Å, I = 38; 2.198 Å, I = 39; 1.811 Å, I = 18; 1.752 Å, I = 22; 1.509 Å, I = 20; 1.449 Å, I = 34

Atomic structure:
```
Tl2GaSi2
1.0
-1.752 1.752 9.516
1.752 -1.752 9.516
1.752 1.752 -9.516
Tl Ga Si
2 1 2
Cartesian
0.000 0.000 2.092 Tl
0.000 0.000 16.941 Tl
0.000 0.000 9.516 Ga
1.752 0.000 4.758 Si
0.000 1.752 4.758 Si
```

***

This entry pairs a crystal structure of Tm3GaSi with its theoretical XRD peak list. Radiation: a wavelength of 1.5418 Å. Structure: a crystal structure in Alexandria, relaxed with PBE.
Intensities are scaled so that the largest is 100.

Principal peaks in the range 5 to 70 degrees two-theta, in order of rising 2θ:
3.407 Å, I = 33; 2.929 Å, I = 97; 2.879 Å, I = 53; 2.819 Å, I = 100; 2.675 Å, I = 63; 2.376 Å, I = 50; 2.225 Å, I = 35; 2.209 Å, I = 42; 2.008 Å, I = 41; 1.720 Å, I = 31

Atomic structure:
```
Tm3GaSi
1.0
4.016 0.000 0.000
2.001 7.373 0.000
0.001 0.328 8.124
Tm Ga Si
6 2 2
Cartesian
1.001 3.035 1.494 Tm
1.003 0.479 6.691 Tm
3.003 5.252 3.381 Tm
3.016 2.449 4.742 Tm
5.015 7.223 1.433 Tm
5.018 4.667 6.630 Tm
1.006 0.814 3.488 Ga
5.013 6.888 4.636 Ga
3.005 5.259 0.495 Si
3.014 2.443 7.629 Si
```

***

This entry pairs a crystal structure of Y2Tm2Ga4Si with its theoretical XRD peak list. Radiation: a wavelength of 1.5418 Å. Structure: a crystal structure in Alexandria, relaxed with PBE.
Intensities are scaled so that the largest is 100.

Principal peaks in the range 5 to 70 degrees two-theta, in order of rising 2θ:
4.885 Å, I = 14; 3.454 Å, I = 12; 2.702 Å, I = 100; 2.666 Å, I = 20; 2.443 Å, I = 54; 2.111 Å, I = 21; 1.727 Å, I = 19; 1.621 Å, I = 13; 1.597 Å, I = 9; 1.455 Å, I = 29

Atomic structure:
```
Y2Tm2Ga4Si
1.0
-3.454 3.454 4.335
3.454 -3.454 4.335
3.454 3.454 -4.335
Y Tm Ga Si
2 2 4 1
Cartesian
3.454 0.000 2.167 Y
0.000 3.454 2.167 Y
0.000 0.000 1.680 Tm
0.000 0.000 6.990 Tm
1.725 1.725 0.000 Ga
1.729 -1.729 4.335 Ga
-1.729 1.729 4.335 Ga
1.729 1.729 4.335 Ga
0.000 0.000 4.335 Si
```